The following is a simulated X-ray diffraction stick pattern of Ta3Au. It was derived from a cell relaxed with PBE, using a wavelength of 1.5418 Å.
Intensities are scaled so that the largest is 100.

Atomic structure:
Cell lengths 5.138, 5.138, 5.068 Å; angles 101.71, 101.71, 33.84 degrees
Fractional coordinates of all 4 atoms:
Ta 0.000 0.000 0.000
Ta 0.243 0.243 0.744
Ta 0.757 0.757 0.256
Au 0.500 0.500 0.500

Largest 10 diffraction maxima, in order of rising 2θ, 10° ≤ 2θ ≤ 90°:
2θ/deg	intensity
37.15	51
37.33	100
37.44	49
42.73	69
44.58	30
62.02	23
63.26	22
63.66	21
74.45	14
74.80	26